# CsCuP3H8O13
Calculated PXRD pattern, Cu Kα, 1.54184 Å. Input: DFT lattice parameters and positions (PBE).
Neutral-atom scattering factors, no anomalous dispersion.

Top 12 peaks for 10° ≤ 2θ ≤ 80°, low angle first:
2θ = 10.9°, d = 8.131 Å, I = 26
2θ = 15.8°, d = 5.609 Å, I = 100
2θ = 17.4°, d = 5.088 Å, I = 33
2θ = 21.7°, d = 4.092 Å, I = 73
2θ = 23.6°, d = 3.772 Å, I = 37
2θ = 23.7°, d = 3.755 Å, I = 32
2θ = 24.3°, d = 3.659 Å, I = 31
2θ = 27.5°, d = 3.248 Å, I = 83
2θ = 29.5°, d = 3.023 Å, I = 25
2θ = 29.6°, d = 3.017 Å, I = 32
2θ = 31.4°, d = 2.851 Å, I = 24
2θ = 31.9°, d = 2.806 Å, I = 24

Structure:
Lattice parameters (Å, degrees): 7.619 8.687 9.891 102.42 90.87 105.99
Atoms (fractional coordinates):
Cs 0.220 0.414 0.322
Cs 0.780 0.586 0.678
Cu 0.000 0.000 0.500
Cu 0.500 0.500 0.000
P 0.222 0.728 0.052
P 0.304 0.651 0.756
P 0.492 0.001 0.781
P 0.508 0.999 0.219
P 0.696 0.349 0.244
P 0.778 0.272 0.948
H 0.029 0.899 0.245
H 0.113 0.997 0.742
H 0.153 0.767 0.528
H 0.175 0.307 0.960
H 0.254 0.878 0.423
H 0.308 0.196 0.939
H 0.315 0.310 0.638
H 0.398 0.177 0.550
H 0.602 0.823 0.450
H 0.685 0.690 0.362
H 0.692 0.804 0.061
H 0.746 0.122 0.577
H 0.825 0.693 0.040
H 0.847 0.233 0.472
H 0.887 0.003 0.258
H 0.971 0.101 0.755
O 0.010 0.004 0.299
O 0.043 0.723 0.115
O 0.132 0.829 0.458
O 0.182 0.694 0.886
O 0.189 0.638 0.627
O 0.293 0.300 0.999
O 0.301 0.232 0.547
O 0.313 0.032 0.822
O 0.330 0.619 0.091
O 0.355 0.914 0.088
O 0.377 0.511 0.770
O 0.435 0.958 0.350
O 0.482 0.812 0.781
O 0.518 0.188 0.219
O 0.565 0.042 0.650
O 0.623 0.489 0.230
O 0.645 0.086 0.912
O 0.670 0.381 0.909
O 0.687 0.968 0.178
O 0.699 0.768 0.453
O 0.707 0.700 0.001
O 0.811 0.362 0.373
O 0.818 0.306 0.114
O 0.868 0.171 0.542
O 0.957 0.277 0.885
O 0.990 0.996 0.701